(1)
# BaTlSnPbBr
Theoretical powder diffractogram, Cu Kα (λ = 1.5418 Å). Input: a crystal structure in Alexandria, relaxed with GGA-PBE.

Main lines, in order of falling intensity (2θ = 10–90°):
Position (°2θ)  I/Imax
29.79  100
37.49  82
22.18  58
25.99  48
48.60  26
39.20  25
62.95  24
31.95  23
24.43  22
36.67  21

Crystal structure
abc: 4.7977 4.7977 10.4918
angles: 103.31 103.31 60.00
Positions (direct):
Ba: 0.0000 0.0000 0.0000
Tl: 0.1499 0.1499 0.4548
Sn: 0.2619 0.2619 0.7873
Pb: 0.5508 0.5508 0.6549
Br: 0.7255 0.7255 0.1755

(2)
# BaTlSnPbBr
Theoretical powder diffractogram, Cu Kα (λ = 1.5418 Å). Input: a crystal structure in Alexandria, relaxed with GGA-PBE.

Main lines, in order of falling intensity (2θ = 10–90°):
Position (°2θ)  I/Imax
26.75  100
36.48  57
45.81  24
59.93  21
34.11  21
39.82  15
24.77  13
49.23  11
65.67  11
31.46  10

Crystal structure
abc: 9.3450 9.3450 9.3450
angles: 30.56 30.56 30.56
Positions (direct):
Ba: 0.0000 0.0000 0.0000
Tl: 0.5923 0.5923 0.5923
Sn: 0.2152 0.2152 0.2152
Pb: 0.8302 0.8302 0.8302
Br: 0.3954 0.3954 0.3954

(3)
# BaTlSnPbBr
Theoretical powder diffractogram, Cu Kα (λ = 1.5418 Å). Input: a crystal structure in Alexandria, relaxed with GGA-PBE.

Main lines, in order of falling intensity (2θ = 10–90°):
Position (°2θ)  I/Imax
30.01  100
34.29  89
31.03  51
20.56  47
40.59  41
28.25  37
24.53  35
50.26  31
56.76  29
40.74  25

Crystal structure
abc: 9.9836 9.9836 9.9836
angles: 154.36 154.30 36.62
Positions (direct):
Ba: 0.0000 0.0000 0.0000
Tl: 0.2031 0.2031 0.0000
Sn: 0.8372 0.3372 0.5000
Pb: 0.3387 0.8387 0.5000
Br: 0.5580 0.5580 0.0000

(4)
# BaTlSnPbBr
Theoretical powder diffractogram, Cu Kα (λ = 1.5418 Å). Input: a crystal structure in Alexandria, relaxed with GGA-PBE.

Main lines, in order of falling intensity (2θ = 10–90°):
Position (°2θ)  I/Imax
26.45  100
36.88  47
38.60  29
60.32  24
45.95  23
54.45  15
33.26  12
84.56  11
67.58  10
47.40  9

Crystal structure
abc: 9.7440 9.7440 9.7440
angles: 28.97 28.97 28.97
Positions (direct):
Ba: 0.0000 0.0000 0.0000
Tl: 0.8200 0.8200 0.8200
Sn: 0.5935 0.5935 0.5935
Pb: 0.2150 0.2150 0.2150
Br: 0.3981 0.3981 0.3981